The following is a theoretical powder diffraction line list of ScCd8Ag2. It was derived from the PBE geometry in Alexandria, using Cu Kα (weighted mean of Kα1 and Kα2).

a b c (Å): 8.773 8.773 5.107
angles (deg): 95.62 95.62 38.47
Fractional positions:
Sc  0.000  0.000  0.000
Cd  0.148  0.662  0.452
Cd  0.188  0.188  0.081
Cd  0.338  0.852  0.548
Cd  0.411  0.411  0.962
Cd  0.589  0.589  0.038
Cd  0.662  0.148  0.452
Cd  0.812  0.812  0.919
Cd  0.852  0.338  0.548
Ag  0.262  0.262  0.605
Ag  0.738  0.738  0.395

Top 8 peaks for 10 to 80 degrees two-theta, low angle first:
| 2θ (°) | I_rel |
| --- | --- |
| 32.61 | 48 |
| 32.84 | 40 |
| 35.34 | 63 |
| 35.51 | 49 |
| 35.74 | 100 |
| 36.87 | 64 |
| 37.42 | 85 |
| 41.12 | 46 |



The following is a theoretical powder diffraction line list of ScCdAg2. It was derived from the PBE geometry in Alexandria, using Cu Kα (weighted mean of Kα1 and Kα2).

a b c (Å): 4.385 4.385 8.111
angles (deg): 90.00 90.00 90.00
Fractional positions:
Sc  0.000  0.000  0.000
Sc  0.500  0.500  0.500
Cd  0.000  0.500  0.750
Cd  0.500  0.000  0.250
Ag  0.000  0.000  0.500
Ag  0.000  0.500  0.250
Ag  0.500  0.000  0.750
Ag  0.500  0.500  0.000

Top 8 peaks for 10 to 80 degrees two-theta, low angle first:
| 2θ (°) | I_rel |
| --- | --- |
| 36.48 | 100 |
| 41.18 | 35 |
| 44.69 | 14 |
| 59.64 | 11 |
| 62.38 | 19 |
| 71.97 | 25 |
| 76.94 | 10 |
| 77.51 | 10 |



The following is a theoretical powder diffraction line list of ScCd5Ag. It was derived from the PBE geometry in Alexandria, using Cu Kα (weighted mean of Kα1 and Kα2).

a b c (Å): 6.751 6.751 7.803
angles (deg): 103.01 103.01 104.56
Fractional positions:
Sc  0.199  0.801  0.750
Sc  0.801  0.199  0.250
Cd  0.080  0.920  0.250
Cd  0.225  0.573  0.383
Cd  0.249  0.304  0.612
Cd  0.304  0.249  0.112
Cd  0.427  0.775  0.117
Cd  0.573  0.225  0.883
Cd  0.696  0.751  0.888
Cd  0.751  0.696  0.388
Cd  0.775  0.427  0.617
Cd  0.920  0.080  0.750
Ag  0.000  0.500  0.000
Ag  0.500  0.000  0.500

Top 8 peaks for 10 to 80 degrees two-theta, low angle first:
| 2θ (°) | I_rel |
| --- | --- |
| 15.73 | 40 |
| 32.03 | 100 |
| 33.61 | 40 |
| 34.19 | 68 |
| 35.58 | 45 |
| 35.70 | 67 |
| 35.84 | 65 |
| 41.46 | 44 |



The following is a theoretical powder diffraction line list of Sc2Cd3Ag3. It was derived from the PBE geometry in Alexandria, using Cu Kα (weighted mean of Kα1 and Kα2).

a b c (Å): 8.342 8.342 8.342
angles (deg): 33.64 33.64 33.64
Fractional positions:
Sc  0.000  0.000  0.000
Sc  0.495  0.495  0.495
Cd  0.246  0.246  0.246
Cd  0.622  0.622  0.622
Cd  0.749  0.749  0.749
Ag  0.123  0.123  0.123
Ag  0.371  0.371  0.371
Ag  0.873  0.873  0.873

Top 8 peaks for 10 to 80 degrees two-theta, low angle first:
| 2θ (°) | I_rel |
| --- | --- |
| 22.58 | 8 |
| 37.29 | 100 |
| 44.03 | 4 |
| 53.75 | 16 |
| 67.20 | 24 |
| 67.35 | 8 |
| 79.40 | 5 |
| 79.57 | 5 |



The following is a theoretical powder diffraction line list of ScCd14Ag. It was derived from the PBE geometry in Alexandria, using Cu Kα (weighted mean of Kα1 and Kα2).

a b c (Å): 9.650 6.209 6.209
angles (deg): 72.47 90.00 90.00
Fractional positions:
Sc  0.000  0.000  0.000
Cd  0.000  0.516  0.924
Cd  0.000  0.924  0.516
Cd  0.228  0.236  0.236
Cd  0.243  0.307  0.729
Cd  0.243  0.729  0.307
Cd  0.264  0.806  0.806
Cd  0.500  0.056  0.056
Cd  0.500  0.125  0.536
Cd  0.500  0.536  0.125
Cd  0.500  0.609  0.609
Cd  0.736  0.806  0.806
Cd  0.757  0.307  0.729
Cd  0.757  0.729  0.307
Cd  0.772  0.236  0.236
Ag  0.000  0.437  0.437

Top 8 peaks for 10 to 80 degrees two-theta, low angle first:
| 2θ (°) | I_rel |
| --- | --- |
| 31.62 | 21 |
| 34.89 | 23 |
| 35.58 | 100 |
| 37.09 | 15 |
| 37.27 | 35 |
| 41.45 | 12 |
| 66.10 | 15 |
| 72.48 | 11 |



The following is a theoretical powder diffraction line list of Sc7Cd2Ag2. It was derived from the PBE geometry in Alexandria, using Cu Kα (weighted mean of Kα1 and Kα2).

a b c (Å): 6.394 6.394 7.096
angles (deg): 90.00 90.00 109.61
Fractional positions:
Sc  0.000  0.000  0.000
Sc  0.000  0.500  0.279
Sc  0.000  0.500  0.721
Sc  0.500  0.000  0.279
Sc  0.500  0.000  0.721
Sc  0.500  0.500  0.256
Sc  0.500  0.500  0.744
Cd  0.182  0.182  0.500
Cd  0.818  0.818  0.500
Ag  0.292  0.708  0.000
Ag  0.708  0.292  0.000

Top 8 peaks for 10 to 80 degrees two-theta, low angle first:
| 2θ (°) | I_rel |
| --- | --- |
| 21.12 | 99 |
| 27.27 | 89 |
| 34.33 | 51 |
| 38.21 | 54 |
| 39.24 | 100 |
| 41.93 | 29 |
| 44.38 | 25 |
| 47.02 | 49 |